(1)
HoCuSn: simulated PXRD pattern (copper Kα), based on a DFT-relaxed cell (GGA-PBE, the Materials Project).
Lines closer than 0.1° are merged.

The 10 most intense peaks (2θ = 10–90°), sorted by position:
d = 3.915 Å, rel. 103; d = 3.442 Å, rel. 126; d = 2.654 Å, rel. 1000; d = 2.260 Å, rel. 664; d = 2.050 Å, rel. 125; d = 1.721 Å, rel. 276; d = 1.410 Å, rel. 167; d = 1.369 Å, rel. 259; d = 1.305 Å, rel. 115; d = 1.130 Å, rel. 75

Atomic structure:
Cell lengths 4.5209, 4.5209, 7.2197 Å; angles 90.00, 90.00, 120.00 degrees
Element x y z (fractional)
Ho 0.0000 0.0000 0.0000
Ho 0.0000 0.0000 0.5000
Cu 0.3333 0.6667 0.3173
Cu 0.6667 0.3333 0.8173
Sn 0.3333 0.6667 0.7301
Sn 0.6667 0.3333 0.2301

***

(2)
Mg7V: simulated PXRD pattern (copper Kα), based on a DFT-relaxed cell (GGA-PBE, the Materials Project).
Lines closer than 0.1° are merged.

The 10 most intense peaks (2θ = 10–90°), sorted by position:
d = 5.448 Å, rel. 86; d = 3.708 Å, rel. 40; d = 2.724 Å, rel. 249; d = 2.530 Å, rel. 260; d = 2.399 Å, rel. 1000; d = 1.854 Å, rel. 152; d = 1.573 Å, rel. 166; d = 1.434 Å, rel. 181; d = 1.336 Å, rel. 184; d = 1.315 Å, rel. 130

Atomic structure:
Cell lengths 6.2908, 6.2908, 5.0606 Å; angles 90.00, 90.00, 120.00 degrees
Element x y z (fractional)
Mg 0.0000 0.0000 0.0000
Mg 0.1678 0.3357 0.5000
Mg 0.1678 0.8322 0.5000
Mg 0.5059 0.0117 0.0000
Mg 0.5059 0.4941 0.0000
Mg 0.6643 0.8322 0.5000
Mg 0.9883 0.4941 0.0000
V 0.6667 0.3333 0.5000

***

(3)
Er6Co2Sn: simulated PXRD pattern (copper Kα), based on a DFT-relaxed cell (GGA-PBE, the Materials Project).
Lines closer than 0.1° are merged.

The 10 most intense peaks (2θ = 10–90°), sorted by position:
d = 3.109 Å, rel. 173; d = 3.033 Å, rel. 150; d = 2.971 Å, rel. 216; d = 2.770 Å, rel. 1000; d = 2.592 Å, rel. 298; d = 2.574 Å, rel. 304; d = 2.546 Å, rel. 249; d = 2.343 Å, rel. 177; d = 1.630 Å, rel. 197; d = 1.535 Å, rel. 196

Atomic structure:
Cell lengths 8.3164, 8.3164, 8.3164 Å; angles 111.41, 109.83, 107.21 degrees
Element x y z (fractional)
Er 0.0108 0.2273 0.7835
Er 0.1844 0.2906 0.4750
Er 0.1844 0.7094 0.8937
Er 0.3167 0.0161 0.6995
Er 0.3167 0.6172 0.3005
Er 0.4438 0.2273 0.2165
Er 0.5562 0.7727 0.7835
Er 0.6833 0.3828 0.6995
Er 0.6833 0.9839 0.3005
Er 0.8156 0.2906 0.1063
Er 0.8156 0.7094 0.5250
Er 0.9892 0.7727 0.2165
Co 0.1139 0.6139 0.5000
Co 0.3816 0.0000 0.3816
Co 0.6184 0.0000 0.6184
Co 0.8861 0.3861 0.5000
Sn 0.0000 0.0000 0.0000
Sn 0.5000 0.5000 0.0000

***

(4)
HoBrO: simulated PXRD pattern (copper Kα), based on a DFT-relaxed cell (GGA-PBE, the Materials Project).
Lines closer than 0.1° are merged.

The 10 most intense peaks (2θ = 10–90°), sorted by position:
d = 3.034 Å, rel. 1000; d = 2.507 Å, rel. 143; d = 2.487 Å, rel. 438; d = 2.228 Å, rel. 130; d = 1.914 Å, rel. 324; d = 1.803 Å, rel. 91; d = 1.619 Å, rel. 156; d = 1.521 Å, rel. 180; d = 1.517 Å, rel. 98; d = 1.236 Å, rel. 128

Atomic structure:
Cell lengths 10.2672, 10.2672, 10.2672 Å; angles 21.49, 21.49, 21.49 degrees
Element x y z (fractional)
Ho 0.1198 0.1198 0.1198
Ho 0.8802 0.8802 0.8802
Br 0.3889 0.3889 0.3889
Br 0.6111 0.6111 0.6111
O 0.1950 0.1950 0.1950
O 0.8050 0.8050 0.8050

***

(5)
CaRhF6: simulated PXRD pattern (copper Kα), based on a DFT-relaxed cell (GGA-PBE, the Materials Project).
Lines closer than 0.1° are merged.

The 10 most intense peaks (2θ = 10–90°), sorted by position:
d = 4.909 Å, rel. 117; d = 4.499 Å, rel. 291; d = 3.977 Å, rel. 1000; d = 2.904 Å, rel. 287; d = 2.385 Å, rel. 214; d = 1.988 Å, rel. 160; d = 1.825 Å, rel. 302; d = 1.736 Å, rel. 140; d = 1.607 Å, rel. 119; d = 1.575 Å, rel. 119

Atomic structure:
Cell lengths 5.8326, 5.8326, 5.8326 Å; angles 55.78, 55.78, 55.78 degrees
Element x y z (fractional)
Ca 0.0000 0.0000 0.0000
Rh 0.5000 0.5000 0.5000
F 0.1445 0.7231 0.4010
F 0.2769 0.5990 0.8555
F 0.4010 0.1445 0.7231
F 0.5990 0.8555 0.2769
F 0.7231 0.4010 0.1445
F 0.8555 0.2769 0.5990

***

(6)
Rh2O3: simulated PXRD pattern (copper Kα), based on a DFT-relaxed cell (GGA-PBE, the Materials Project).
Lines closer than 0.1° are merged.

The 10 most intense peaks (2θ = 10–90°), sorted by position:
d = 3.800 Å, rel. 424; d = 2.777 Å, rel. 900; d = 2.605 Å, rel. 1000; d = 1.900 Å, rel. 352; d = 1.744 Å, rel. 631; d = 1.535 Å, rel. 328; d = 1.504 Å, rel. 308; d = 1.345 Å, rel. 162; d = 1.303 Å, rel. 119; d = 1.139 Å, rel. 145

Atomic structure:
Cell lengths 5.5773, 5.5773, 5.5773 Å; angles 55.69, 55.69, 55.69 degrees
Element x y z (fractional)
Rh 0.1506 0.1506 0.1506
Rh 0.3494 0.3494 0.3494
Rh 0.6506 0.6506 0.6506
Rh 0.8494 0.8494 0.8494
O 0.0496 0.7500 0.4504
O 0.2500 0.5496 0.9504
O 0.4504 0.0496 0.7500
O 0.5496 0.9504 0.2500
O 0.7500 0.4504 0.0496
O 0.9504 0.2500 0.5496

***

(7)
Ti2CrSe4: simulated PXRD pattern (copper Kα), based on a DFT-relaxed cell (GGA-PBE, the Materials Project).
Lines closer than 0.1° are merged.

The 10 most intense peaks (2θ = 10–90°), sorted by position:
d = 2.825 Å, rel. 203; d = 2.776 Å, rel. 1000; d = 2.753 Å, rel. 322; d = 2.209 Å, rel. 157; d = 2.179 Å, rel. 258; d = 2.162 Å, rel. 109; d = 2.157 Å, rel. 344; d = 1.813 Å, rel. 364; d = 1.784 Å, rel. 185; d = 1.684 Å, rel. 155

Atomic structure:
Cell lengths 13.5370, 3.5689, 6.3181 Å; angles 90.00, 116.60, 90.00 degrees
Element x y z (fractional)
Ti 0.2468 0.0000 0.2152
Ti 0.2532 0.5000 0.7848
Ti 0.7468 0.5000 0.2152
Ti 0.7532 0.0000 0.7848
Cr 0.0000 0.5000 0.5000
Cr 0.5000 0.0000 0.5000
Se 0.1137 0.5000 0.9506
Se 0.1294 0.0000 0.4659
Se 0.3706 0.5000 0.5341
Se 0.3863 0.0000 0.0494
Se 0.6137 0.0000 0.9506
Se 0.6294 0.5000 0.4659
Se 0.8706 0.0000 0.5341
Se 0.8863 0.5000 0.0494